# 1
The following is a calculated powder XRD pattern of PaZnCuO5. It was derived from a cell relaxed with PBE, using Cu Kα X-rays.
Neutral-atom scattering factors, no anomalous dispersion.

Largest 10 diffraction maxima, sorted by position, 2θ from 10° to 80°:
18.1 deg, I 100.0
26.1 deg, I 53.2
26.6 deg, I 28.8
31.2 deg, I 26.4
31.4 deg, I 69.1
32.3 deg, I 87.4
32.7 deg, I 56.2
37.5 deg, I 40.8
44.6 deg, I 27.3
56.5 deg, I 27.4

Structure:
```
data_PaZnCuO5
_chemical_formula_sum 'Pa4 Zn4 Cu4 O20'
_symmetry_space_group_name_H-M 'C 1 2/c 1'
_symmetry_Int_Tables_number 15
_cell_length_a 6.316
_cell_length_b 9.505
_cell_length_c 7.396
_cell_angle_alpha 90.00
_cell_angle_beta 114.90
_cell_angle_gamma 90.00
loop_
_symmetry_equiv_pos_as_xyz
'x,y,z'
'-x,-y,-z'
'-x,y,-z+1/2'
'x,-y,z+1/2'
'x+1/2,y+1/2,z'
'-x+1/2,-y+1/2,-z'
'-x+1/2,y+1/2,-z+1/2'
'x+1/2,-y+1/2,z+1/2'
loop_
_atom_site_label
_atom_site_type_symbol
_atom_site_fract_x
_atom_site_fract_y
_atom_site_fract_z
Pa1 Pa 0.000 0.054 0.250
Zn1 Zn 0.250 0.250 0.000
Cu1 Cu 0.000 0.398 0.250
O1 O 0.000 0.164 0.750
O2 O 0.020 0.253 0.421
O3 O 0.249 0.023 0.085
```

=====

# 2
The following is a calculated powder XRD pattern of SrAlInF6. It was derived from a cell relaxed with PBE, using Cu Kα X-rays.
Neutral-atom scattering factors, no anomalous dispersion.

Largest 10 diffraction maxima, sorted by position, 2θ from 10° to 80°:
23.8 deg, I 100.0
30.3 deg, I 27.4
37.2 deg, I 9.8
38.9 deg, I 16.4
38.9 deg, I 8.2
45.1 deg, I 27.9
45.2 deg, I 8.3
50.0 deg, I 18.3
50.2 deg, I 9.1
53.2 deg, I 9.6

Structure:
```
data_SrAlInF6
_chemical_formula_sum 'Sr2 Al2 In2 F12'
_symmetry_space_group_name_H-M 'C 1 2 1'
_symmetry_Int_Tables_number 5
_cell_length_a 5.888
_cell_length_b 10.237
_cell_length_c 5.488
_cell_angle_alpha 90.00
_cell_angle_beta 90.11
_cell_angle_gamma 90.00
loop_
_symmetry_equiv_pos_as_xyz
'x,y,z'
'-x,y,-z'
'x+1/2,y+1/2,z'
'-x+1/2,y+1/2,-z'
loop_
_atom_site_label
_atom_site_type_symbol
_atom_site_fract_x
_atom_site_fract_y
_atom_site_fract_z
Sr1 Sr 0.000 0.000 0.000
Al1 Al 0.000 0.333 0.000
In1 In 0.000 0.667 0.500
F1 F 0.123 0.202 0.809
F2 F 0.134 0.459 0.809
F3 F 0.241 0.837 0.810
```

=====

# 3
The following is a calculated powder XRD pattern of Ca7Pt5. It was derived from a cell relaxed with PBE, using Cu Kα X-rays.
Neutral-atom scattering factors, no anomalous dispersion.

Largest 10 diffraction maxima, sorted by position, 2θ from 10° to 80°:
17.1 deg, I 37.3
21.3 deg, I 19.5
30.7 deg, I 18.6
34.5 deg, I 100.0
34.8 deg, I 92.9
38.7 deg, I 38.9
41.0 deg, I 57.9
57.6 deg, I 43.5
70.4 deg, I 22.0
70.8 deg, I 21.7

Structure:
```
data_Ca7Pt5
_chemical_formula_sum 'Ca7 Pt5'
_symmetry_space_group_name_H-M 'P m m m'
_symmetry_Int_Tables_number 47
_cell_length_a 4.656
_cell_length_b 6.258
_cell_length_c 9.300
_cell_angle_alpha 90.00
_cell_angle_beta 90.00
_cell_angle_gamma 90.00
loop_
_symmetry_equiv_pos_as_xyz
'x,y,z'
'-x,-y,-z'
'-x,-y,z'
'x,y,-z'
'x,-y,-z'
'-x,y,z'
'-x,y,-z'
'x,-y,z'
loop_
_atom_site_label
_atom_site_type_symbol
_atom_site_fract_x
_atom_site_fract_y
_atom_site_fract_z
Ca1 Ca 0.000 0.000 0.000
Ca2 Ca 0.000 0.500 0.349
Ca3 Ca 0.500 0.241 0.193
Pt1 Pt 0.000 0.000 0.337
Pt2 Pt 0.000 0.500 0.000
Pt3 Pt 0.500 0.234 0.500
```

=====

# 4
The following is a calculated powder XRD pattern of LiY2Zn12Ni3. It was derived from a cell relaxed with PBE, using Cu Kα X-rays.
Neutral-atom scattering factors, no anomalous dispersion.

Largest 10 diffraction maxima, sorted by position, 2θ from 10° to 80°:
24.7 deg, I 77.7
33.8 deg, I 22.5
35.8 deg, I 40.4
37.9 deg, I 23.3
38.8 deg, I 21.0
42.4 deg, I 100.0
44.4 deg, I 40.9
48.9 deg, I 13.3
67.2 deg, I 14.2
77.6 deg, I 14.4

Structure:
```
data_LiY2Zn12Ni3
_chemical_formula_sum 'Li3 Y6 Zn36 Ni9'
_symmetry_space_group_name_H-M 'R -3 m'
_symmetry_Int_Tables_number 166
_symmetry_space_group_name_Hall '-R 3 2"'
_cell_length_a 8.5232
_cell_length_b 8.5232
_cell_length_c 17.1212
_cell_angle_alpha 90.00
_cell_angle_beta 90.00
_cell_angle_gamma 120.00
loop_
_atom_site_label
_atom_site_type_symbol
_atom_site_fract_x
_atom_site_fract_y
_atom_site_fract_z
Li1 Li 0.0000 0.0000 0.0000
Y1 Y 0.0000 0.0000 0.4046
Zn1 Zn 0.0183 0.5092 0.3642
Zn2 Zn 0.0405 0.5203 0.8039
Ni1 Ni 0.0000 0.5000 0.5000
```

=====

# 5
The following is a calculated powder XRD pattern of NpH6PtRh. It was derived from a cell relaxed with PBE, using Cu Kα X-rays.
Neutral-atom scattering factors, no anomalous dispersion.

Largest 10 diffraction maxima, sorted by position, 2θ from 10° to 80°:
21.5 deg, I 10.0
30.6 deg, I 100.0
37.8 deg, I 53.4
43.9 deg, I 14.4
49.4 deg, I 29.8
59.3 deg, I 31.1
63.8 deg, I 26.7
68.2 deg, I 9.7
72.5 deg, I 9.1
76.6 deg, I 1.4

Structure:
```
data_NpH6PtRh
_chemical_formula_sum 'Np1 H6 Pt1 Rh1'
_symmetry_space_group_name_H-M 'P -6 m 2'
_symmetry_Int_Tables_number 187
_symmetry_space_group_name_Hall 'P -6 2'
_cell_length_a 4.7648
_cell_length_b 4.7648
_cell_length_c 4.1247
_cell_angle_alpha 90.00
_cell_angle_beta 90.00
_cell_angle_gamma 120.00
loop_
_atom_site_label
_atom_site_type_symbol
_atom_site_fract_x
_atom_site_fract_y
_atom_site_fract_z
Np1 Np 0.0000 0.0000 0.0000
H1 H 0.0070 0.5035 0.2214
Pt1 Pt 0.6667 0.3333 0.5000
Rh1 Rh 0.3333 0.6667 0.5000
```

=====

# 6
The following is a calculated powder XRD pattern of ThSCl3. It was derived from a cell relaxed with PBE, using Cu Kα X-rays.
Neutral-atom scattering factors, no anomalous dispersion.

Largest 10 diffraction maxima, sorted by position, 2θ from 10° to 80°:
15.3 deg, I 100.0
15.5 deg, I 75.2
19.7 deg, I 58.9
20.5 deg, I 52.8
25.7 deg, I 35.2
27.5 deg, I 56.1
32.1 deg, I 36.7
39.7 deg, I 43.3
40.6 deg, I 35.7
50.1 deg, I 32.4

Structure:
```
data_ThSCl3
_chemical_formula_sum 'Th4 S4 Cl12'
_symmetry_space_group_name_H-M 'I m a 2'
_symmetry_Int_Tables_number 46
_cell_length_a 8.655
_cell_length_b 7.580
_cell_length_c 8.992
_cell_angle_alpha 90.00
_cell_angle_beta 90.00
_cell_angle_gamma 90.00
loop_
_symmetry_equiv_pos_as_xyz
'x,y,z'
'-x,-y,z'
'-x+1/2,y,z'
'x+1/2,-y,z'
'x+1/2,y+1/2,z+1/2'
'-x+1/2,-y+1/2,z+1/2'
'-x,y+1/2,z+1/2'
'x,-y+1/2,z+1/2'
loop_
_atom_site_label
_atom_site_type_symbol
_atom_site_fract_x
_atom_site_fract_y
_atom_site_fract_z
Th1 Th 0.250 0.111 0.000
S1 S 0.250 0.092 0.694
Cl1 Cl 0.064 0.699 0.504
Cl2 Cl 0.250 0.069 0.316
```

=====

# 7
The following is a calculated powder XRD pattern of CaBH. It was derived from a cell relaxed with PBE, using Cu Kα X-rays.
Neutral-atom scattering factors, no anomalous dispersion.

Largest 10 diffraction maxima, sorted by position, 2θ from 10° to 80°:
16.5 deg, I 73.4
24.0 deg, I 100.0
33.4 deg, I 84.2
33.8 deg, I 44.2
38.8 deg, I 51.7
45.9 deg, I 28.7
48.3 deg, I 39.5
58.0 deg, I 21.6
64.5 deg, I 14.7
65.4 deg, I 14.7

Structure:
```
data_CaBH
_chemical_formula_sum 'Ca6 B6 H6'
_symmetry_space_group_name_H-M 'P 62 2 2'
_symmetry_Int_Tables_number 180
_symmetry_space_group_name_Hall 'P 62 2 (0 0 4)'
_cell_length_a 6.1869
_cell_length_b 6.1869
_cell_length_c 10.2914
_cell_angle_alpha 90.00
_cell_angle_beta 90.00
_cell_angle_gamma 120.00
loop_
_atom_site_label
_atom_site_type_symbol
_atom_site_fract_x
_atom_site_fract_y
_atom_site_fract_z
Ca1 Ca 0.0000 0.5000 0.4101
B1 B 0.1426 0.5713 0.6667
H1 H 0.0000 0.0000 0.0000
H2 H 0.0000 0.5000 0.1667
```

=====

# 8
The following is a calculated powder XRD pattern of KSe. It was derived from a cell relaxed with PBE, using Cu Kα X-rays.
Neutral-atom scattering factors, no anomalous dispersion.

Largest 10 diffraction maxima, sorted by position, 2θ from 10° to 80°:
19.7 deg, I 100.0
24.6 deg, I 45.1
34.4 deg, I 97.6
35.7 deg, I 91.1
40.0 deg, I 16.7
50.4 deg, I 32.0
53.8 deg, I 14.5
61.7 deg, I 19.2
62.5 deg, I 32.3
72.6 deg, I 13.2

Structure:
```
data_KSe
_chemical_formula_sum 'K6 Se6'
_symmetry_space_group_name_H-M 'P -6 2 m'
_symmetry_Int_Tables_number 189
_symmetry_space_group_name_Hall 'P -6 -2'
_cell_length_a 9.0219
_cell_length_b 9.0219
_cell_length_c 6.0623
_cell_angle_alpha 90.00
_cell_angle_beta 90.00
_cell_angle_gamma 120.00
loop_
_atom_site_label
_atom_site_type_symbol
_atom_site_fract_x
_atom_site_fract_y
_atom_site_fract_z
K1 K 0.0000 0.3496 0.0000
K2 K 0.0000 0.6838 0.5000
Se1 Se 0.0000 0.0000 0.2009
Se2 Se 0.3333 0.6667 0.2980
```